# CsMn2Ag2F7
Calculated powder diffractogram, Cu Kα. Input: a PBE+U-relaxed structure.

```
data_CsMn2Ag2F7
_chemical_formula_sum 'Cs2 Mn4 Ag4 F14'
_cell_length_a 4.2390
_cell_length_b 4.6081
_cell_length_c 20.8200
_cell_angle_alpha 90.00
_cell_angle_beta 90.00
_cell_angle_gamma 90.00
_space_group_name_H-M_alt 'I m m m'
_space_group_IT_number 71
_space_group_name_Hall '-I 2 2'
loop_
_atom_site_label
_atom_site_fract_x
_atom_site_fract_y
_atom_site_fract_z
_atom_site_occupancy
Cs1 0.0000 0.0000 0.0000 1
Mn1 0.0000 0.0000 0.3967 1
Ag1 0.0000 0.5000 0.2733 1
F1 0.0000 0.0000 0.2928 1
F2 0.0000 0.0000 0.5000 1
F3 0.0000 0.5000 0.1037 1
F4 0.0000 0.5000 0.3910 1
```

Principal peaks in the range 10° ≤ 2θ ≤ 90°, low angle first:
| 2theta | d/Å | I_rel |
| --- | --- | --- |
| 17.0 | 5.205 | 28 |
| 24.6 | 3.618 | 55 |
| 28.9 | 3.090 | 52 |
| 29.9 | 2.988 | 100 |
| 36.9 | 2.435 | 29 |
| 38.8 | 2.320 | 29 |
| 39.1 | 2.304 | 37 |
| 42.7 | 2.119 | 28 |
| 46.7 | 1.943 | 19 |
| 52.3 | 1.748 | 22 |
| 54.9 | 1.674 | 18 |
| 59.2 | 1.560 | 20 |